Record 1
The following is a theoretical powder diffractogram of KPd8. It was derived from a GGA-PBE-relaxed structure, using λ = 1.5418 Å (Cu Kα).

Atomic structure:
a b c (Å): 12.6416 12.3504 5.3947
angles (deg): 80.57 74.53 24.90
Sites, in units of the cell vectors:
1 K 0.1250 0.1250 0.1250
2 K 0.8750 0.8750 0.8750
3 Pd 0.0823 0.5794 0.3994
4 Pd 0.1814 0.3237 0.7738
5 Pd 0.2211 0.7738 0.3237
6 Pd 0.2262 0.7789 0.8186
7 Pd 0.3237 0.1814 0.2211
8 Pd 0.3994 0.4389 0.0823
9 Pd 0.4206 0.9177 0.5611
10 Pd 0.4389 0.3994 0.5794
11 Pd 0.5611 0.6006 0.4206
12 Pd 0.5794 0.0823 0.4389
13 Pd 0.6006 0.5611 0.9177
14 Pd 0.6763 0.8186 0.7789
15 Pd 0.7738 0.2211 0.1814
16 Pd 0.7789 0.2262 0.6763
17 Pd 0.8186 0.6763 0.2262
18 Pd 0.9177 0.4206 0.6006

Top 10 peaks for 10° ≤ 2θ ≤ 90°, by angle:
d = 5.950 Å, rel. 22; d = 5.102 Å, rel. 26; d = 3.518 Å, rel. 18; d = 2.850 Å, rel. 29; d = 2.290 Å, rel. 18; d = 2.181 Å, rel. 100; d = 2.133 Å, rel. 22; d = 2.124 Å, rel. 23; d = 1.983 Å, rel. 21; d = 1.452 Å, rel. 15

***

Record 2
The following is a theoretical powder diffractogram of KSbPdS3. It was derived from a GGA-PBE-relaxed structure, using λ = 1.5418 Å (Cu Kα).

Atomic structure:
a b c (Å): 8.6411 4.1019 9.2625
angles (deg): 90.00 103.88 90.00
Sites, in units of the cell vectors:
1 K 0.1840 0.2500 0.2332
2 K 0.8160 0.7500 0.7668
3 Sb 0.3356 0.7500 0.8657
4 Sb 0.6644 0.2500 0.1343
5 Pd 0.0768 0.2500 0.5821
6 Pd 0.9232 0.7500 0.4179
7 S 0.1344 0.2500 0.8704
8 S 0.1981 0.7500 0.5398
9 S 0.4394 0.7500 0.1451
10 S 0.5606 0.2500 0.8549
11 S 0.8019 0.2500 0.4602
12 S 0.8656 0.7500 0.1296

Top 10 peaks for 10° ≤ 2θ ≤ 90°, by angle:
d = 7.033 Å, rel. 100; d = 3.516 Å, rel. 13; d = 3.290 Å, rel. 12; d = 3.030 Å, rel. 11; d = 2.997 Å, rel. 10; d = 2.934 Å, rel. 51; d = 2.455 Å, rel. 16; d = 2.051 Å, rel. 12; d = 1.949 Å, rel. 13; d = 1.907 Å, rel. 10